[1]
The following is a simulated powder diffractogram of Tm8S11. It was derived from a structure optimized by DFT (GGA-PBE), using Cu Kα X-rays.
No peak broadening, texture or thermal motion is included.

The 12 most intense peaks (2θ = 5–70°), low angle first:
(0 2 8), d 3.607, I 100
(1 1 3), d 3.439, I 13
(0 4 0), d 3.171, I 23
(1 3 2), d 2.771, I 16
(1 3 5), d 2.606, I 32
(0 0 16), d 2.193, I 14
(1 1 13), d 2.159, I 16
(0 6 8), d 1.904, I 21
(2 0 0), d 1.876, I 15
(0 4 16), d 1.804, I 12
(2 2 8), d 1.665, I 22
(2 0 16), d 1.425, I 14

Structure:
Unit cell a=3.753 b=12.685 c=35.085 alpha=90.00 beta=90.00 gamma=90.00
Space group Cmcm (No. 63)
Symmetry-distinct sites (fractional):
Tm 0.000 0.000 0.000 (multiplicity 4)
Tm 0.000 0.019 0.133 (multiplicity 8)
Tm 0.000 0.240 0.683 (multiplicity 8)
Tm 0.000 0.257 0.058 (multiplicity 8)
Tm 0.000 0.489 0.750 (multiplicity 4)
S 0.000 0.090 0.568 (multiplicity 8)
S 0.000 0.115 0.203 (multiplicity 8)
S 0.000 0.143 0.750 (multiplicity 4)
S 0.000 0.335 0.612 (multiplicity 8)
S 0.000 0.353 0.516 (multiplicity 8)
S 0.000 0.397 0.163 (multiplicity 8)

=====

[2]
The following is a simulated powder diffractogram of Tm5S7. It was derived from a structure optimized by DFT (GGA-PBE), using Cu Kα X-rays.
No peak broadening, texture or thermal motion is included.

The 12 most intense peaks (2θ = 5–70°), low angle first:
(2 0 2), d 3.679, I 83
(2 0 -3), d 3.586, I 100
(1 1 1), d 3.337, I 33
(4 0 -1), d 3.155, I 39
(3 1 -1), d 2.788, I 33
(3 1 -2), d 2.655, I 46
(3 1 1), d 2.576, I 36
(1 1 -4), d 2.276, I 25
(0 0 5), d 2.221, I 22
(1 1 4), d 2.120, I 28
(5 1 0), d 2.049, I 27
(0 2 0), d 1.872, I 24

Structure:
Unit cell a=12.626 b=3.744 c=11.469 alpha=90.00 beta=104.46 gamma=90.00
Space group C2/m (No. 12)
Symmetry-distinct sites (fractional):
Tm 0.000 0.000 0.000 (multiplicity 2)
Tm 0.112 0.000 0.422 (multiplicity 4)
Tm 0.200 0.500 0.813 (multiplicity 4)
S 0.000 0.500 0.500 (multiplicity 2)
S 0.042 0.000 0.785 (multiplicity 4)
S 0.159 0.500 0.051 (multiplicity 4)
S 0.241 0.500 0.353 (multiplicity 4)

=====

[3]
The following is a simulated powder diffractogram of Tm10S19. It was derived from a structure optimized by DFT (GGA-PBE), using Cu Kα X-rays.
No peak broadening, texture or thermal motion is included.

The 12 most intense peaks (2θ = 5–70°), low angle first:
(0 0 4), d 3.902, I 30
(2 1 2), d 3.430, I 100
(1 3 0), d 2.700, I 42
(0 0 6), d 2.602, I 9
(1 3 2), d 2.552, I 12
(1 3 4), d 2.220, I 54
(2 1 6), d 2.150, I 39
(4 2 0), d 1.909, I 24
(4 2 4), d 1.715, I 14
(5 0 2), d 1.668, I 26
(5 0 6), d 1.428, I 21
(2 6 0), d 1.351, I 11

Structure:
Unit cell a=8.539 b=8.539 c=15.610 alpha=90.00 beta=90.00 gamma=90.00
Space group P4_2/n (No. 86, origin choice 2)
Symmetry-distinct sites (fractional):
Tm 0.041 0.151 0.122 (multiplicity 8)
Tm 0.054 0.145 0.604 (multiplicity 8)
Tm 0.250 0.750 0.116 (multiplicity 4)
S 0.028 0.691 0.250 (multiplicity 8)
S 0.049 0.152 0.428 (multiplicity 8)
S 0.053 0.149 0.939 (multiplicity 8)
S 0.070 0.617 0.750 (multiplicity 8)
S 0.250 0.250 0.250 (multiplicity 2)
S 0.250 0.750 0.435 (multiplicity 4)